1.
La5Pr3Dy3: calculated X-ray diffraction stick pattern (copper Kα), based on a DFT-relaxed cell (GGA-PBE, Alexandria).
No peak broadening, texture or thermal motion is included.

Atomic structure:
```
data_La5Pr3Dy3
_chemical_formula_sum 'La5 Pr3 Dy3'
_cell_length_a 11.5601
_cell_length_b 11.5601
_cell_length_c 3.4942
_cell_angle_alpha 90.00
_cell_angle_beta 90.00
_cell_angle_gamma 120.00
_symmetry_space_group_name_H-M 'P -6 2 m'
_symmetry_Int_Tables_number 189
_symmetry_space_group_name_Hall 'P -6 -2'
loop_
_atom_site_label
_atom_site_type_symbol
_atom_site_fract_x
_atom_site_fract_y
_atom_site_fract_z
_atom_site_occupancy
La1 La 0.0000 0.6636 0.0000 1
La2 La 0.3333 0.6667 0.0000 1
Pr1 Pr 0.0000 0.4011 0.5000 1
Dy1 Dy 0.0000 0.1585 0.0000 1
```

Principal peaks in the range 15° ≤ 2θ ≤ 90°, sorted by position:
- 23.51°, rel. 36
- 26.71°, rel. 78
- 29.88°, rel. 86
- 30.94°, rel. 36
- 32.24°, rel. 100
- 34.95°, rel. 73
- 40.51°, rel. 84
- 47.37°, rel. 45
- 61.59°, rel. 41
- 62.84°, rel. 29

***

2.
La6Pr8Dy: calculated X-ray diffraction stick pattern (copper Kα), based on a DFT-relaxed cell (GGA-PBE, Alexandria).
No peak broadening, texture or thermal motion is included.

Atomic structure:
```
data_La6Pr8Dy
_chemical_formula_sum 'La18 Pr24 Dy3'
_cell_length_a 9.4224
_cell_length_b 9.4224
_cell_length_c 21.3853
_cell_angle_alpha 90.00
_cell_angle_beta 90.00
_cell_angle_gamma 120.00
_symmetry_space_group_name_H-M 'R -3'
_symmetry_Int_Tables_number 148
_symmetry_space_group_name_Hall '-R 3'
loop_
_atom_site_label
_atom_site_type_symbol
_atom_site_fract_x
_atom_site_fract_y
_atom_site_fract_z
_atom_site_occupancy
La1 La 0.0508 0.2473 0.2090 1
Pr1 Pr 0.0000 0.0000 0.0778 1
Pr2 Pr 0.0801 0.5673 0.3064 1
Dy1 Dy 0.0000 0.0000 0.5000 1
```

Principal peaks in the range 15° ≤ 2θ ≤ 90°, sorted by position:
- 29.26°, rel. 52
- 30.16°, rel. 100
- 30.27°, rel. 71
- 31.26°, rel. 52
- 31.47°, rel. 22
- 33.54°, rel. 17
- 35.32°, rel. 24
- 51.04°, rel. 16
- 51.30°, rel. 14
- 53.01°, rel. 25

***

3.
LaPr3Dy7: calculated X-ray diffraction stick pattern (copper Kα), based on a DFT-relaxed cell (GGA-PBE, Alexandria).
No peak broadening, texture or thermal motion is included.

Atomic structure:
```
data_LaPr3Dy7
_chemical_formula_sum 'La1 Pr3 Dy7'
_cell_length_a 7.1226
_cell_length_b 7.1226
_cell_length_c 8.7976
_cell_angle_alpha 90.00
_cell_angle_beta 90.00
_cell_angle_gamma 120.00
_symmetry_space_group_name_H-M 'P 3 m 1'
_symmetry_Int_Tables_number 156
loop_
_symmetry_equiv_pos_as_xyz
'x,y,z'
'-y,x-y,z'
'-x+y,-x,z'
'-y,-x,z'
'-x+y,y,z'
'x,x-y,z'
loop_
_atom_site_label
_atom_site_type_symbol
_atom_site_fract_x
_atom_site_fract_y
_atom_site_fract_z
_atom_site_occupancy
La1 La 0.0000 0.0000 0.0000 1
Pr1 Pr 0.3341 0.1671 0.6582 1
Dy1 Dy 0.1665 0.3329 0.3235 1
Dy2 Dy 0.5008 0.0017 0.9986 1
Dy3 Dy 0.6667 0.3333 0.3194 1
```

Principal peaks in the range 15° ≤ 2θ ≤ 90°, sorted by position:
- 30.48°, rel. 33
- 30.72°, rel. 100
- 35.55°, rel. 69
- 51.00°, rel. 24
- 51.31°, rel. 24
- 60.59°, rel. 15
- 60.86°, rel. 28
- 61.00°, rel. 14
- 63.98°, rel. 12
- 83.69°, rel. 12

***

4.
La8PrDy5: calculated X-ray diffraction stick pattern (copper Kα), based on a DFT-relaxed cell (GGA-PBE, Alexandria).
No peak broadening, texture or thermal motion is included.

Atomic structure:
```
data_La8PrDy5
_chemical_formula_sum 'La8 Pr1 Dy5'
_cell_length_a 8.6972
_cell_length_b 8.7292
_cell_length_c 8.7505
_cell_angle_alpha 112.91
_cell_angle_beta 98.64
_cell_angle_gamma 116.99
_symmetry_space_group_name_H-M 'P 1'
_symmetry_Int_Tables_number 1
loop_
_symmetry_equiv_pos_as_xyz
'x,y,z'
loop_
_atom_site_label
_atom_site_type_symbol
_atom_site_fract_x
_atom_site_fract_y
_atom_site_fract_z
_atom_site_occupancy
La1 La 0.0000 0.0000 0.0000 1
La2 La 0.0174 0.4074 0.8119 1
La3 La 0.3881 0.2735 0.8503 1
La4 La 0.4179 0.9991 0.4350 1
La5 La 0.5316 0.7524 0.0543 1
La6 La 0.6802 0.5398 0.6831 1
La7 La 0.8038 0.8965 0.5172 1
La8 La 0.8504 0.2726 0.3092 1
Pr1 Pr 0.4828 0.2767 0.2189 1
Dy1 Dy 0.1305 0.7568 0.6355 1
Dy2 Dy 0.1893 0.2347 0.4684 1
Dy3 Dy 0.2733 0.5333 0.2843 1
Dy4 Dy 0.6182 0.0348 0.8429 1
Dy5 Dy 0.9011 0.6289 0.1661 1
```

Principal peaks in the range 15° ≤ 2θ ≤ 90°, sorted by position:
- 25.45°, rel. 26
- 28.76°, rel. 19
- 28.89°, rel. 22
- 30.82°, rel. 51
- 31.24°, rel. 56
- 31.43°, rel. 100
- 31.99°, rel. 24
- 32.11°, rel. 24
- 33.29°, rel. 31
- 33.53°, rel. 30

***

5.
La6Pr3Dy: calculated X-ray diffraction stick pattern (copper Kα), based on a DFT-relaxed cell (GGA-PBE, Alexandria).
No peak broadening, texture or thermal motion is included.

Atomic structure:
```
data_La6Pr3Dy
_chemical_formula_sum 'La24 Pr12 Dy4'
_cell_length_a 11.0201
_cell_length_b 19.6966
_cell_length_c 6.6644
_cell_angle_alpha 90.00
_cell_angle_beta 90.00
_cell_angle_gamma 90.00
_symmetry_space_group_name_H-M 'C m c 21'
_symmetry_Int_Tables_number 36
loop_
_symmetry_equiv_pos_as_xyz
'x,y,z'
'-x,-y,z+1/2'
'-x,y,z'
'x,-y,z+1/2'
'x+1/2,y+1/2,z'
'-x+1/2,-y+1/2,z+1/2'
'-x+1/2,y+1/2,z'
'x+1/2,-y+1/2,z+1/2'
loop_
_atom_site_label
_atom_site_type_symbol
_atom_site_fract_x
_atom_site_fract_y
_atom_site_fract_z
_atom_site_occupancy
La1 La 0.0000 0.0313 0.0000 1
La2 La 0.0000 0.2807 0.1931 1
La3 La 0.1736 0.4599 0.2957 1
La4 La 0.2225 0.2928 0.4816 1
Pr1 Pr 0.0000 0.3844 0.7737 1
Pr2 Pr 0.1765 0.1189 0.3893 1
Dy1 Dy 0.0000 0.1871 0.7460 1
```

Principal peaks in the range 15° ≤ 2θ ≤ 90°, sorted by position:
- 27.52°, rel. 22
- 27.76°, rel. 73
- 28.11°, rel. 53
- 28.33°, rel. 24
- 30.35°, rel. 100
- 30.95°, rel. 43
- 31.37°, rel. 25
- 32.48°, rel. 20
- 32.70°, rel. 61
- 33.35°, rel. 32

***

6.
La7Pr2Dy: calculated X-ray diffraction stick pattern (copper Kα), based on a DFT-relaxed cell (GGA-PBE, Alexandria).
No peak broadening, texture or thermal motion is included.

Atomic structure:
```
data_La7Pr2Dy
_chemical_formula_sum 'La7 Pr2 Dy1'
_cell_length_a 9.0531
_cell_length_b 3.5409
_cell_length_c 12.0694
_cell_angle_alpha 90.00
_cell_angle_beta 111.52
_cell_angle_gamma 90.00
_symmetry_space_group_name_H-M 'P 1 2/m 1'
_symmetry_Int_Tables_number 10
loop_
_symmetry_equiv_pos_as_xyz
'x,y,z'
'-x,-y,-z'
'-x,y,-z'
'x,-y,z'
loop_
_atom_site_label
_atom_site_type_symbol
_atom_site_fract_x
_atom_site_fract_y
_atom_site_fract_z
_atom_site_occupancy
La1 La 0.0000 0.0000 0.0000 1
La2 La 0.1901 0.0000 0.3068 1
La3 La 0.2229 0.0000 0.8102 1
La4 La 0.3916 0.5000 0.1106 1
Pr1 Pr 0.3965 0.0000 0.6025 1
Dy1 Dy 0.0000 0.5000 0.5000 1
```

Principal peaks in the range 15° ≤ 2θ ≤ 90°, sorted by position:
- 25.15°, rel. 12
- 27.35°, rel. 11
- 29.60°, rel. 100
- 29.90°, rel. 56
- 30.86°, rel. 44
- 32.09°, rel. 16
- 36.04°, rel. 22
- 60.64°, rel. 15
- 60.82°, rel. 13
- 61.37°, rel. 13

***

7.
LaPr3Dy4: calculated X-ray diffraction stick pattern (copper Kα), based on a DFT-relaxed cell (GGA-PBE, Alexandria).
No peak broadening, texture or thermal motion is included.

Atomic structure:
```
data_LaPr3Dy4
_chemical_formula_sum 'La2 Pr6 Dy8'
_cell_length_a 11.7135
_cell_length_b 7.3649
_cell_length_c 6.3496
_cell_angle_alpha 90.00
_cell_angle_beta 90.00
_cell_angle_gamma 90.00
_symmetry_space_group_name_H-M 'P m n 21'
_symmetry_Int_Tables_number 31
loop_
_symmetry_equiv_pos_as_xyz
'x,y,z'
'-x+1/2,-y,z+1/2'
'-x,y,z'
'x+1/2,-y,z+1/2'
loop_
_atom_site_label
_atom_site_type_symbol
_atom_site_fract_x
_atom_site_fract_y
_atom_site_fract_z
_atom_site_occupancy
La1 La 0.0000 0.1274 0.0000 1
Pr1 Pr 0.0000 0.8718 0.5003 1
Pr2 Pr 0.2498 0.1294 0.3364 1
Dy1 Dy 0.0000 0.3808 0.5020 1
Dy2 Dy 0.0000 0.6206 0.0018 1
Dy3 Dy 0.2495 0.6205 0.3340 1
```

Principal peaks in the range 15° ≤ 2θ ≤ 90°, sorted by position:
- 28.04°, rel. 24
- 30.53°, rel. 25
- 32.01°, rel. 100
- 41.93°, rel. 16
- 49.50°, rel. 7
- 49.68°, rel. 13
- 55.20°, rel. 21
- 59.28°, rel. 8
- 59.44°, rel. 15
- 60.21°, rel. 11

***

8.
La3Pr2Dy7: calculated X-ray diffraction stick pattern (copper Kα), based on a DFT-relaxed cell (GGA-PBE, Alexandria).
No peak broadening, texture or thermal motion is included.

Atomic structure:
```
data_La3Pr2Dy7
_chemical_formula_sum 'La6 Pr4 Dy14'
_cell_length_a 5.8204
_cell_length_b 38.6954
_cell_length_c 3.6405
_cell_angle_alpha 90.00
_cell_angle_beta 90.00
_cell_angle_gamma 90.00
_symmetry_space_group_name_H-M 'C m m m'
_symmetry_Int_Tables_number 65
_symmetry_space_group_name_Hall '-C 2 2'
loop_
_atom_site_label
_atom_site_type_symbol
_atom_site_fract_x
_atom_site_fract_y
_atom_site_fract_z
_atom_site_occupancy
La1 La 0.0000 0.0000 0.0000 1
La2 La 0.0000 0.3149 0.5000 1
Pr1 Pr 0.0000 0.1460 0.0000 1
Dy1 Dy 0.0000 0.0718 0.5000 1
Dy2 Dy 0.0000 0.2301 0.0000 1
Dy3 Dy 0.0000 0.4130 0.0000 1
Dy4 Dy 0.0000 0.5000 0.5000 1
```

Principal peaks in the range 15° ≤ 2θ ≤ 90°, sorted by position:
- 27.66°, rel. 19
- 29.69°, rel. 57
- 30.73°, rel. 81
- 31.20°, rel. 100
- 33.25°, rel. 40
- 33.82°, rel. 22
- 44.01°, rel. 15
- 50.11°, rel. 16
- 54.92°, rel. 20
- 59.94°, rel. 18